Li7CrO6: computed XRD peak list (Cu Kα X-rays), based on a crystal structure in Alexandria, relaxed with PBE+U.
No peak broadening, texture or thermal motion is included.

```
Li7CrO6
1.0
4.7992 -2.8252 0.0000
4.7992 2.8252 0.0000
-0.0147 0.0000 10.8721
Li Cr O
14 2 12
direct
0.0018 0.9982 0.5000
0.0299 0.6340 0.8610
0.0477 0.3275 0.3553
0.3275 0.0477 0.8553
0.3365 0.7441 0.3192
0.3475 0.7276 0.7333
0.6340 0.0299 0.3610
0.6485 0.6838 0.0005
0.6838 0.6485 0.5005
0.7276 0.3475 0.2333
0.7412 0.9435 0.7302
0.7441 0.3365 0.8192
0.9435 0.7412 0.2302
0.9982 0.0018 0.0000
0.3385 0.3395 0.0960
0.3395 0.3385 0.5960
0.0263 0.9749 0.8201
0.0374 0.6321 0.0495
0.0617 0.3253 0.5375
0.3253 0.0617 0.0375
0.3383 0.3749 0.2563
0.3386 0.6373 0.5515
0.3749 0.3383 0.7563
0.6321 0.0374 0.5495
0.6373 0.3386 0.0515
0.6617 0.7016 0.8213
0.7016 0.6617 0.3213
0.9749 0.0263 0.3201
```

The 10 most intense peaks (2θ = 5–70°), by angle:
5.436 Å, rel. 25; 4.869 Å, rel. 61; 4.799 Å, rel. 37; 3.627 Å, rel. 100; 3.598 Å, rel. 48; 2.825 Å, rel. 17; 2.784 Å, rel. 30; 2.718 Å, rel. 36; 2.697 Å, rel. 22; 1.623 Å, rel. 22